Entry 1:
This entry pairs a crystal structure of Pm2ZnTe with its simulated XRD peak list. Radiation: copper Kα. Structure: a structure optimized by DFT (PBE).
Kinematic intensities with the Lorentz-polarization factor, no thermal factor.

Largest 10 diffraction maxima, low angle first, 15 to 90 degrees two-theta:
| two_theta | Rel. int. |
| --- | --- |
| 29.05 | 100.0 |
| 29.68 | 35.6 |
| 33.33 | 21.3 |
| 39.13 | 58.4 |
| 40.44 | 24.0 |
| 41.93 | 21.7 |
| 50.97 | 15.7 |
| 52.22 | 14.6 |
| 59.67 | 15.2 |
| 68.06 | 13.2 |

Structural model:
Cell: 12.229 12.229 4.460 Å, 90.00 90.00 159.71°
Sites, in units of the cell vectors:
Pm  0.063  0.937  0.750
Pm  0.328  0.672  0.750
Pm  0.672  0.328  0.250
Pm  0.937  0.063  0.250
Zn  0.462  0.538  0.750
Zn  0.538  0.462  0.250
Te  0.194  0.806  0.750
Te  0.806  0.194  0.250


Entry 2:
This entry pairs a crystal structure of PmZrTe with its simulated XRD peak list. Radiation: copper Kα. Structure: a structure optimized by DFT (PBE).
Kinematic intensities with the Lorentz-polarization factor, no thermal factor.

Largest 10 diffraction maxima, low angle first, 15 to 90 degrees two-theta:
| two_theta | Rel. int. |
| --- | --- |
| 31.09 | 100.0 |
| 35.90 | 68.2 |
| 47.27 | 10.4 |
| 48.21 | 29.3 |
| 60.75 | 29.1 |
| 61.55 | 28.0 |
| 64.52 | 12.1 |
| 76.10 | 7.5 |
| 83.76 | 11.7 |
| 84.46 | 11.6 |

Structural model:
Cell: 5.003 5.003 3.846 Å, 90.00 90.00 120.00°
Sites, in units of the cell vectors:
Pm  0.000  0.000  0.000
Zr  0.333  0.667  0.500
Te  0.667  0.333  0.500


Entry 3:
This entry pairs a crystal structure of Pm6Th with its simulated XRD peak list. Radiation: copper Kα. Structure: a structure optimized by DFT (PBE).
Kinematic intensities with the Lorentz-polarization factor, no thermal factor.

Largest 10 diffraction maxima, low angle first, 15 to 90 degrees two-theta:
| two_theta | Rel. int. |
| --- | --- |
| 21.99 | 41.4 |
| 27.01 | 100.0 |
| 38.57 | 21.1 |
| 41.80 | 62.9 |
| 44.84 | 29.3 |
| 50.48 | 18.3 |
| 53.13 | 15.7 |
| 62.96 | 19.0 |
| 65.28 | 19.2 |
| 71.99 | 19.2 |

Structural model:
Cell: 7.003 7.003 7.003 Å, 109.47 109.47 109.47°
Sites, in units of the cell vectors:
Pm  0.250  0.500  0.750
Pm  0.250  0.750  0.500
Pm  0.500  0.250  0.750
Pm  0.500  0.750  0.250
Pm  0.750  0.250  0.500
Pm  0.750  0.500  0.250
Th  0.000  0.000  0.000


Entry 4:
This entry pairs a crystal structure of Pm3Th with its simulated XRD peak list. Radiation: copper Kα. Structure: a structure optimized by DFT (PBE).
Kinematic intensities with the Lorentz-polarization factor, no thermal factor.

Largest 10 diffraction maxima, low angle first, 15 to 90 degrees two-theta:
| two_theta | Rel. int. |
| --- | --- |
| 28.24 | 11.6 |
| 28.37 | 24.5 |
| 30.04 | 40.1 |
| 32.07 | 51.4 |
| 32.19 | 100.0 |
| 41.76 | 25.7 |
| 50.06 | 19.4 |
| 54.69 | 34.1 |
| 59.50 | 23.2 |
| 60.92 | 16.6 |

Structural model:
Cell: 3.627 5.949 6.321 Å, 90.00 90.00 90.00°
Sites, in units of the cell vectors:
Pm  0.000  0.000  0.000
Pm  0.000  0.500  0.332
Pm  0.500  0.500  0.818
Th  0.500  0.000  0.490


Entry 5:
This entry pairs a crystal structure of PmTh with its simulated XRD peak list. Radiation: copper Kα. Structure: a structure optimized by DFT (PBE).
Kinematic intensities with the Lorentz-polarization factor, no thermal factor.

Largest 10 diffraction maxima, low angle first, 15 to 90 degrees two-theta:
| two_theta | Rel. int. |
| --- | --- |
| 30.31 | 100.0 |
| 35.14 | 50.7 |
| 36.25 | 6.3 |
| 50.54 | 36.2 |
| 60.07 | 43.0 |
| 63.04 | 12.3 |
| 74.31 | 4.0 |
| 82.27 | 17.4 |
| 84.88 | 10.4 |
| 84.94 | 5.8 |

Structural model:
Cell: 3.610 3.610 10.225 Å, 90.00 90.00 90.00°
Sites, in units of the cell vectors:
Pm  0.250  0.250  0.135
Pm  0.750  0.750  0.865
Th  0.250  0.250  0.618
Th  0.750  0.750  0.382


Entry 6:
This entry pairs a crystal structure of Pm5Th2 with its simulated XRD peak list. Radiation: copper Kα. Structure: a structure optimized by DFT (PBE).
Kinematic intensities with the Lorentz-polarization factor, no thermal factor.

Largest 10 diffraction maxima, low angle first, 15 to 90 degrees two-theta:
| two_theta | Rel. int. |
| --- | --- |
| 16.67 | 14.8 |
| 30.03 | 33.4 |
| 31.00 | 100.0 |
| 31.93 | 32.7 |
| 33.68 | 22.2 |
| 35.37 | 34.4 |
| 37.80 | 18.3 |
| 55.72 | 11.4 |
| 56.30 | 12.4 |
| 62.98 | 28.9 |

Structural model:
Cell: 11.890 11.890 3.438 Å, 90.00 90.00 90.00°
Sites, in units of the cell vectors:
Pm  0.000  0.500  0.000
Pm  0.049  0.202  0.000
Pm  0.202  0.951  0.000
Pm  0.298  0.451  0.000
Pm  0.451  0.702  0.000
Pm  0.500  0.000  0.000
Pm  0.549  0.298  0.000
Pm  0.702  0.549  0.000
Pm  0.798  0.049  0.000
Pm  0.951  0.798  0.000
Th  0.188  0.688  0.500
Th  0.312  0.188  0.500
Th  0.688  0.812  0.500
Th  0.812  0.312  0.500


Entry 7:
This entry pairs a crystal structure of PmTh11 with its simulated XRD peak list. Radiation: copper Kα. Structure: a structure optimized by DFT (PBE).
Kinematic intensities with the Lorentz-polarization factor, no thermal factor.

Largest 10 diffraction maxima, low angle first, 15 to 90 degrees two-theta:
| two_theta | Rel. int. |
| --- | --- |
| 30.00 | 15.0 |
| 31.35 | 100.0 |
| 35.17 | 12.2 |
| 37.53 | 8.6 |
| 44.93 | 12.0 |
| 55.80 | 26.0 |
| 62.34 | 19.8 |
| 65.41 | 8.2 |
| 80.08 | 9.6 |
| 88.49 | 7.6 |

Structural model:
Cell: 11.414 11.414 3.493 Å, 90.00 90.00 120.00°
Sites, in units of the cell vectors:
Pm  0.000  0.000  0.000
Th  0.000  0.500  0.000
Th  0.173  0.345  0.500
Th  0.173  0.827  0.500
Th  0.333  0.667  0.000
Th  0.345  0.173  0.500
Th  0.500  0.000  0.000
Th  0.500  0.500  0.000
Th  0.655  0.827  0.500
Th  0.667  0.333  0.000
Th  0.827  0.173  0.500
Th  0.827  0.655  0.500


Entry 8:
This entry pairs a crystal structure of Pm8Th3 with its simulated XRD peak list. Radiation: copper Kα. Structure: a structure optimized by DFT (PBE).
Kinematic intensities with the Lorentz-polarization factor, no thermal factor.

Largest 10 diffraction maxima, low angle first, 15 to 90 degrees two-theta:
| two_theta | Rel. int. |
| --- | --- |
| 27.75 | 20.7 |
| 31.04 | 52.2 |
| 31.39 | 46.3 |
| 31.57 | 24.9 |
| 31.71 | 62.9 |
| 31.91 | 100.0 |
| 31.99 | 30.4 |
| 32.45 | 42.0 |
| 34.06 | 17.8 |
| 57.32 | 19.5 |

Structural model:
Cell: 6.542 6.722 8.870 Å, 99.64 98.08 95.57°
Sites, in units of the cell vectors:
Pm  0.009  0.267  0.093
Pm  0.201  0.079  0.663
Pm  0.273  0.775  0.281
Pm  0.455  0.302  0.353
Pm  0.545  0.698  0.647
Pm  0.727  0.225  0.719
Pm  0.799  0.921  0.337
Pm  0.991  0.733  0.907
Th  0.000  0.500  0.500
Th  0.500  0.000  0.000
Th  0.500  0.500  0.000


Entry 9:
This entry pairs a crystal structure of Pm3Th with its simulated XRD peak list. Radiation: copper Kα. Structure: a structure optimized by DFT (PBE).
Kinematic intensities with the Lorentz-polarization factor, no thermal factor.

Largest 10 diffraction maxima, low angle first, 15 to 90 degrees two-theta:
| two_theta | Rel. int. |
| --- | --- |
| 28.42 | 25.0 |
| 30.04 | 40.4 |
| 32.11 | 52.2 |
| 32.23 | 100.0 |
| 41.79 | 25.9 |
| 50.15 | 19.6 |
| 54.71 | 34.3 |
| 59.57 | 23.4 |
| 59.80 | 11.6 |
| 61.03 | 16.9 |

Structural model:
Cell: 6.974 6.974 6.974 Å, 149.91 62.89 126.19°
Sites, in units of the cell vectors:
Pm  0.000  0.000  0.000
Pm  0.076  0.325  0.752
Pm  0.573  0.325  0.248
Th  0.491  0.991  0.500


Entry 10:
This entry pairs a crystal structure of Pm5Th with its simulated XRD peak list. Radiation: copper Kα. Structure: a structure optimized by DFT (PBE).
Kinematic intensities with the Lorentz-polarization factor, no thermal factor.

Largest 10 diffraction maxima, low angle first, 15 to 90 degrees two-theta:
| two_theta | Rel. int. |
| --- | --- |
| 30.08 | 100.0 |
| 34.87 | 51.3 |
| 50.14 | 36.2 |
| 59.56 | 32.5 |
| 59.62 | 10.9 |
| 62.55 | 9.5 |
| 81.46 | 8.7 |
| 81.60 | 9.0 |
| 84.06 | 8.0 |
| 84.18 | 8.5 |

Structural model:
Cell: 3.636 3.636 17.854 Å, 90.00 90.00 120.00°
Sites, in units of the cell vectors:
Pm  0.000  0.000  0.000
Pm  0.333  0.667  0.166
Pm  0.333  0.667  0.661
Pm  0.667  0.333  0.339
Pm  0.667  0.333  0.834
Th  0.000  0.000  0.500


Entry 11:
This entry pairs a crystal structure of PmTh2Tl9 with its simulated XRD peak list. Radiation: copper Kα. Structure: a structure optimized by DFT (PBE).
Kinematic intensities with the Lorentz-polarization factor, no thermal factor.

Largest 10 diffraction maxima, low angle first, 15 to 90 degrees two-theta:
| two_theta | Rel. int. |
| --- | --- |
| 32.16 | 100.0 |
| 37.27 | 33.9 |
| 37.39 | 16.8 |
| 53.79 | 36.0 |
| 64.02 | 28.6 |
| 64.18 | 14.2 |
| 67.29 | 12.4 |
| 79.45 | 3.9 |
| 88.30 | 6.3 |
| 88.45 | 12.5 |

Structural model:
Cell: 4.825 4.825 14.430 Å, 90.00 90.00 90.00°
Sites, in units of the cell vectors:
Pm  0.000  0.000  0.000
Th  0.000  0.000  0.334
Th  0.000  0.000  0.666
Tl  0.000  0.500  0.166
Tl  0.000  0.500  0.500
Tl  0.000  0.500  0.834
Tl  0.500  0.000  0.166
Tl  0.500  0.000  0.500
Tl  0.500  0.000  0.834
Tl  0.500  0.500  0.000
Tl  0.500  0.500  0.333
Tl  0.500  0.500  0.667


Entry 12:
This entry pairs a crystal structure of PmTm9Th2 with its simulated XRD peak list. Radiation: copper Kα. Structure: a structure optimized by DFT (PBE).
Kinematic intensities with the Lorentz-polarization factor, no thermal factor.

Largest 10 diffraction maxima, low angle first, 15 to 90 degrees two-theta:
| two_theta | Rel. int. |
| --- | --- |
| 31.14 | 100.0 |
| 36.03 | 16.9 |
| 36.15 | 33.7 |
| 51.99 | 36.2 |
| 61.76 | 14.3 |
| 61.91 | 28.7 |
| 64.94 | 12.4 |
| 84.94 | 12.1 |
| 85.07 | 6.1 |
| 87.82 | 11.4 |

Structural model:
Cell: 4.970 4.970 14.955 Å, 90.00 90.00 90.00°
Sites, in units of the cell vectors:
Pm  0.000  0.000  0.000
Tm  0.000  0.500  0.169
Tm  0.000  0.500  0.500
Tm  0.000  0.500  0.831
Tm  0.500  0.000  0.169
Tm  0.500  0.000  0.500
Tm  0.500  0.000  0.831
Tm  0.500  0.500  0.000
Tm  0.500  0.500  0.334
Tm  0.500  0.500  0.666
Th  0.000  0.000  0.334
Th  0.000  0.000  0.666


Entry 13:
This entry pairs a crystal structure of PmTm8Th2 with its simulated XRD peak list. Radiation: copper Kα. Structure: a structure optimized by DFT (PBE).
Kinematic intensities with the Lorentz-polarization factor, no thermal factor.

Largest 10 diffraction maxima, low angle first, 15 to 90 degrees two-theta:
| two_theta | Rel. int. |
| --- | --- |
| 31.09 | 100.0 |
| 35.98 | 33.9 |
| 36.18 | 16.8 |
| 51.80 | 12.1 |
| 51.95 | 24.0 |
| 61.65 | 28.8 |
| 61.92 | 14.2 |
| 64.81 | 12.4 |
| 84.86 | 9.0 |
| 87.36 | 5.7 |

Structural model:
Cell: 6.090 7.891 7.893 Å, 107.47 104.96 97.61°
Sites, in units of the cell vectors:
Pm  0.000  0.000  0.000
Tm  0.181  0.635  0.725
Tm  0.268  0.457  0.088
Tm  0.360  0.271  0.457
Tm  0.448  0.091  0.813
Tm  0.552  0.909  0.187
Tm  0.640  0.729  0.543
Tm  0.732  0.543  0.912
Tm  0.819  0.365  0.275
Th  0.090  0.818  0.368
Th  0.910  0.182  0.632


Entry 14:
This entry pairs a crystal structure of PmTm2Th4 with its simulated XRD peak list. Radiation: copper Kα. Structure: a structure optimized by DFT (PBE).
Kinematic intensities with the Lorentz-polarization factor, no thermal factor.

Largest 10 diffraction maxima, low angle first, 15 to 90 degrees two-theta:
| two_theta | Rel. int. |
| --- | --- |
| 15.15 | 27.4 |
| 29.93 | 19.1 |
| 30.27 | 64.5 |
| 30.60 | 100.0 |
| 30.78 | 15.1 |
| 33.71 | 40.7 |
| 34.33 | 89.1 |
| 43.82 | 27.9 |
| 56.00 | 26.2 |
| 56.79 | 21.8 |

Structural model:
Cell: 6.846 6.846 11.694 Å, 90.04 90.04 121.45°
Sites, in units of the cell vectors:
Pm  0.165  0.835  0.750
Pm  0.835  0.165  0.250
Tm  0.126  0.874  0.250
Tm  0.499  0.501  0.750
Tm  0.501  0.499  0.250
Tm  0.874  0.126  0.750
Th  0.231  0.231  0.000
Th  0.231  0.231  0.500
Th  0.274  0.725  0.014
Th  0.275  0.726  0.486
Th  0.725  0.274  0.514
Th  0.726  0.275  0.986
Th  0.769  0.769  0.000
Th  0.769  0.769  0.500